This entry pairs a crystal structure of Nb4CrSi3 with its simulated powder diffraction line list. Radiation: Cu Kα (weighted mean of Kα1 and Kα2). Structure: the PBE geometry in the Materials Project.
Lines closer than 0.1° are merged.

Largest 6 diffraction maxima, sorted by position, 2θ = 10–90°:
| 2θ (°) | Rel. int. |
| --- | --- |
| 26.9 | 32 |
| 36.3 | 34 |
| 37.3 | 96 |
| 40.6 | 49 |
| 41.7 | 100 |
| 44.8 | 41 |

Crystal structure
```
data_Nb4CrSi3
_chemical_formula_sum 'Nb8 Cr2 Si6'
_symmetry_space_group_name_H-M 'P 1'
_symmetry_Int_Tables_number 1
_cell_length_a 7.4554
_cell_length_b 7.4554
_cell_length_c 7.4554
_cell_angle_alpha 96.33
_cell_angle_beta 96.33
_cell_angle_gamma 141.22
loop_
_symmetry_equiv_pos_as_xyz
'x,y,z'
loop_
_atom_site_label
_atom_site_type_symbol
_atom_site_fract_x
_atom_site_fract_y
_atom_site_fract_z
_atom_site_occupancy
Nb1 Nb 0.0805 0.7793 0.8599 1
Nb2 Nb 0.2207 0.0805 0.3012 1
Nb3 Nb 0.2793 0.5805 0.8599 1
Nb4 Nb 0.4195 0.2793 0.6988 1
Nb5 Nb 0.5805 0.7207 0.3012 1
Nb6 Nb 0.7207 0.4195 0.1401 1
Nb7 Nb 0.7793 0.9195 0.6988 1
Nb8 Nb 0.9195 0.2207 0.1401 1
Cr1 Cr 0.2500 0.7500 0.5000 1
Cr2 Cr 0.7500 0.2500 0.5000 1
Si1 Si 0.1540 0.3460 0.5000 1
Si2 Si 0.2500 0.2500 0.0000 1
Si3 Si 0.3460 0.8460 0.1921 1
Si4 Si 0.6540 0.1540 0.8079 1
Si5 Si 0.7500 0.7500 0.0000 1
Si6 Si 0.8460 0.6540 0.5000 1
```

---

This entry pairs a crystal structure of SmFeNi4 with its simulated powder diffraction line list. Radiation: Cu Kα (weighted mean of Kα1 and Kα2). Structure: the PBE geometry in the Materials Project.
Lines closer than 0.1° are merged.

Largest 6 diffraction maxima, sorted by position, 2θ = 10–90°:
| 2θ (°) | Rel. int. |
| --- | --- |
| 30.7 | 51 |
| 36.1 | 31 |
| 42.0 | 38 |
| 43.0 | 100 |
| 46.0 | 26 |
| 69.7 | 22 |

Crystal structure
```
data_SmFeNi4
_chemical_formula_sum 'Sm1 Fe1 Ni4'
_symmetry_space_group_name_H-M 'P 1'
_symmetry_Int_Tables_number 1
_cell_length_a 4.9734
_cell_length_b 4.9734
_cell_length_c 3.9445
_cell_angle_alpha 90.00
_cell_angle_beta 90.00
_cell_angle_gamma 120.00
loop_
_symmetry_equiv_pos_as_xyz
'x,y,z'
loop_
_atom_site_label
_atom_site_type_symbol
_atom_site_fract_x
_atom_site_fract_y
_atom_site_fract_z
_atom_site_occupancy
Sm1 Sm 0.0000 0.0000 0.0000 1
Fe1 Fe 0.3333 0.6667 0.0000 1
Ni1 Ni 0.5003 0.0006 0.5000 1
Ni2 Ni 0.5003 0.4997 0.5000 1
Ni3 Ni 0.6667 0.3333 0.0000 1
Ni4 Ni 0.9994 0.4997 0.5000 1
```

---

This entry pairs a crystal structure of Ce5Sn3 with its simulated powder diffraction line list. Radiation: Cu Kα (weighted mean of Kα1 and Kα2). Structure: the PBE geometry in the Materials Project.
Lines closer than 0.1° are merged.

Largest 6 diffraction maxima, sorted by position, 2θ = 10–90°:
| 2θ (°) | Rel. int. |
| --- | --- |
| 29.8 | 60 |
| 32.2 | 71 |
| 32.7 | 51 |
| 33.1 | 100 |
| 35.8 | 39 |
| 54.4 | 25 |

Crystal structure
```
data_Ce5Sn3
_chemical_formula_sum 'Ce10 Sn6'
_symmetry_space_group_name_H-M 'P 1'
_symmetry_Int_Tables_number 1
_cell_length_a 9.3029
_cell_length_b 9.3029
_cell_length_c 9.3029
_cell_angle_alpha 96.18
_cell_angle_beta 96.18
_cell_angle_gamma 141.70
loop_
_symmetry_equiv_pos_as_xyz
'x,y,z'
loop_
_atom_site_label
_atom_site_type_symbol
_atom_site_fract_x
_atom_site_fract_y
_atom_site_fract_z
_atom_site_occupancy
Ce1 Ce 0.0832 0.7785 0.8617 1
Ce2 Ce 0.2215 0.0832 0.3047 1
Ce3 Ce 0.2500 0.7500 0.5000 1
Ce4 Ce 0.2785 0.5832 0.8617 1
Ce5 Ce 0.4168 0.2785 0.6953 1
Ce6 Ce 0.5832 0.7215 0.3047 1
Ce7 Ce 0.7215 0.4168 0.1383 1
Ce8 Ce 0.7500 0.2500 0.5000 1
Ce9 Ce 0.7785 0.9168 0.6953 1
Ce10 Ce 0.9168 0.2215 0.1383 1
Sn1 Sn 0.1605 0.3395 0.5000 1
Sn2 Sn 0.2500 0.2500 0.0000 1
Sn3 Sn 0.3395 0.8395 0.1791 1
Sn4 Sn 0.6605 0.1605 0.8209 1
Sn5 Sn 0.7500 0.7500 0.0000 1
Sn6 Sn 0.8395 0.6605 0.5000 1
```

---

This entry pairs a crystal structure of K4Sr2SnAs4 with its simulated powder diffraction line list. Radiation: Cu Kα (weighted mean of Kα1 and Kα2). Structure: the PBE geometry in the Materials Project.
Lines closer than 0.1° are merged.

Largest 6 diffraction maxima, sorted by position, 2θ = 10–90°:
| 2θ (°) | Rel. int. |
| --- | --- |
| 14.7 | 44 |
| 29.6 | 53 |
| 30.3 | 51 |
| 30.8 | 53 |
| 33.8 | 58 |
| 34.0 | 100 |

Crystal structure
```
data_K4Sr2SnAs4
_chemical_formula_sum 'K8 Sr4 Sn2 As8'
_symmetry_space_group_name_H-M 'P 1'
_symmetry_Int_Tables_number 1
_cell_length_a 10.5464
_cell_length_b 10.5464
_cell_length_c 7.7678
_cell_angle_alpha 91.31
_cell_angle_beta 91.31
_cell_angle_gamma 119.46
loop_
_symmetry_equiv_pos_as_xyz
'x,y,z'
loop_
_atom_site_label
_atom_site_type_symbol
_atom_site_fract_x
_atom_site_fract_y
_atom_site_fract_z
_atom_site_occupancy
K1 K 0.0635 0.3521 0.4870 1
K2 K 0.0721 0.9279 0.5000 1
K3 K 0.1622 0.6891 0.7996 1
K4 K 0.3487 0.4968 0.9698 1
K5 K 0.3521 0.0635 0.9870 1
K6 K 0.4968 0.3487 0.4698 1
K7 K 0.6891 0.1622 0.2996 1
K8 K 0.9279 0.0721 0.0000 1
Sr1 Sr 0.2726 0.7419 0.2984 1
Sr2 Sr 0.6889 0.7415 0.3004 1
Sr3 Sr 0.7415 0.6889 0.8004 1
Sr4 Sr 0.7419 0.2726 0.7984 1
Sn1 Sn 0.5439 0.8763 0.6836 1
Sn2 Sn 0.8763 0.5439 0.1836 1
As1 As 0.0079 0.8205 0.0886 1
As2 As 0.0181 0.4104 0.0721 1
As3 As 0.4104 0.0181 0.5721 1
As4 As 0.4162 0.6040 0.5459 1
As5 As 0.5453 0.8675 0.0295 1
As6 As 0.6040 0.4162 0.0459 1
As7 As 0.8205 0.0079 0.5886 1
As8 As 0.8675 0.5453 0.5295 1
```

---

This entry pairs a crystal structure of CsRbAu2 with its simulated powder diffraction line list. Radiation: Cu Kα (weighted mean of Kα1 and Kα2). Structure: the PBE geometry in the Materials Project.
Lines closer than 0.1° are merged.

Largest 6 diffraction maxima, sorted by position, 2θ = 10–90°:
| 2θ (°) | Rel. int. |
| --- | --- |
| 29.4 | 100 |
| 42.1 | 19 |
| 52.2 | 41 |
| 61.0 | 13 |
| 69.2 | 18 |
| 84.4 | 21 |

Crystal structure
```
data_CsRbAu2
_chemical_formula_sum 'Cs1 Rb1 Au2'
_symmetry_space_group_name_H-M 'P 1'
_symmetry_Int_Tables_number 1
_cell_length_a 6.0731
_cell_length_b 6.0731
_cell_length_c 6.0731
_cell_angle_alpha 60.00
_cell_angle_beta 60.00
_cell_angle_gamma 60.00
loop_
_symmetry_equiv_pos_as_xyz
'x,y,z'
loop_
_atom_site_label
_atom_site_type_symbol
_atom_site_fract_x
_atom_site_fract_y
_atom_site_fract_z
_atom_site_occupancy
Cs1 Cs 0.0000 0.0000 0.0000 1
Rb1 Rb 0.5000 0.5000 0.5000 1
Au1 Au 0.2500 0.2500 0.2500 1
Au2 Au 0.7500 0.7500 0.7500 1
```